Entry 1:
Structure and calculated XRD peak list of Dy8HoSc3 (a cell relaxed with GGA-PBE; CuKα).

Principal peaks in the range 2θ = 15–90°, in order of rising 2θ:
d [Å], 2θ (°), intensity
3.459, 25.75, 264
2.889, 30.95, 632
2.780, 32.20, 941
2.772, 32.29, 953
2.747, 32.59, 1000
2.699, 33.19, 750
2.689, 33.33, 842
2.668, 33.59, 274
1.948, 46.62, 217
1.864, 48.85, 268

```
Dy8HoSc3
1.0
5.7875 0.0000 0.0000
2.6572 7.9689 0.0000
2.4413 2.9331 7.7832
Dy Ho Sc
8 1 3
Cartesian
0.0000 0.0000 0.0000
3.0532 6.9164 3.2768
2.5135 4.2711 1.1425
3.2883 3.6221 4.4483
2.6871 1.0558 2.2808
5.7513 7.9286 5.5601
5.4101 6.0972 0.6712
8.8130 9.8203 5.0954
8.4261 6.2185 6.5918
5.4691 4.5984 6.8419
6.1764 5.1351 3.7903
5.4148 2.7379 1.9733
```


Entry 2:
Structure and calculated XRD peak list of Pr5ErSn6 (a cell relaxed with GGA-PBE; CuKα).

Principal peaks in the range 2θ = 15–90°, in order of rising 2θ:
d [Å], 2θ (°), intensity
3.200, 27.88, 564
3.070, 29.08, 1000
2.643, 33.92, 339
2.216, 40.72, 813
2.041, 44.39, 162
2.035, 44.53, 160
1.886, 48.25, 120
1.625, 56.64, 150
1.596, 57.75, 147
1.535, 60.28, 124

```
Pr5ErSn6
1.0
4.1443 -5.6584 0.0000
4.1443 5.6584 0.0000
-1.5727 0.0000 8.1636
Pr Er Sn
5 1 6
Cartesian
0.0000 0.0000 0.0000
3.3580 3.7318 4.0818
4.1443 1.9272 0.0000
4.1443 -1.9272 0.0000
3.3580 -3.7318 4.0818
3.3580 0.0000 4.0818
1.7078 1.7629 2.0740
0.9424 0.0000 6.0887
1.7078 -1.7629 2.0740
5.0081 1.7629 6.0896
5.7736 0.0000 2.0749
5.0081 -1.7629 6.0896
```


Entry 3:
Structure and calculated XRD peak list of PmPr5Tl6 (a cell relaxed with GGA-PBE; CuKα).

Principal peaks in the range 2θ = 15–90°, in order of rising 2θ:
d [Å], 2θ (°), intensity
2.784, 32.15, 506
2.771, 32.30, 1000
1.973, 46.00, 95
1.965, 46.21, 93
1.950, 46.56, 91
1.607, 57.35, 198
1.603, 57.48, 196
1.597, 57.71, 194
1.247, 76.41, 64
1.235, 77.27, 83

```
PmPr5Tl6
1.0
5.5657 0.0000 0.0000
0.0000 7.8019 0.0000
-2.7470 0.0000 8.3569
Pm Pr Tl
1 5 6
Cartesian
0.0000 0.0000 0.0000
0.0000 3.9010 0.0000
0.0240 3.9010 5.5530
0.0239 0.0000 5.5730
2.7948 0.0000 2.7839
2.7947 3.9010 2.8039
0.0118 1.9347 2.7646
0.0118 5.8672 2.7646
2.7828 1.9364 0.0000
2.7828 5.8655 0.0000
2.8068 1.9347 5.5923
2.8068 5.8672 5.5923
```


Please write out number 1 again, unchanged.
Structure and calculated XRD peak list of Dy8HoSc3 (a cell relaxed with GGA-PBE; CuKα).

Principal peaks in the range 2θ = 15–90°, in order of rising 2θ:
d [Å], 2θ (°), intensity
3.459, 25.75, 264
2.889, 30.95, 632
2.780, 32.20, 941
2.772, 32.29, 953
2.747, 32.59, 1000
2.699, 33.19, 750
2.689, 33.33, 842
2.668, 33.59, 274
1.948, 46.62, 217
1.864, 48.85, 268

```
Dy8HoSc3
1.0
5.7875 0.0000 0.0000
2.6572 7.9689 0.0000
2.4413 2.9331 7.7832
Dy Ho Sc
8 1 3
Cartesian
0.0000 0.0000 0.0000
3.0532 6.9164 3.2768
2.5135 4.2711 1.1425
3.2883 3.6221 4.4483
2.6871 1.0558 2.2808
5.7513 7.9286 5.5601
5.4101 6.0972 0.6712
8.8130 9.8203 5.0954
8.4261 6.2185 6.5918
5.4691 4.5984 6.8419
6.1764 5.1351 3.7903
5.4148 2.7379 1.9733
```